Record 1
Structure and simulated powder diffractogram of Ce2NiAs4Ru3 (a crystal structure in Alexandria, relaxed with PBE; Cu Ka).

Principal peaks in the range 2θ = 15–90°, in order of falling intensity:
d [Å]	Rel. int.
2.573	100
2.594	78
2.140	74
1.650	39
1.779	27
1.513	24
1.304	23
1.368	22

Structure:
abc: 4.279 4.279 9.783
angles: 90.00 90.00 90.00
Atoms (fractional coordinates):
Ce  0.000  0.500  0.248
Ce  0.500  0.000  0.752
Ni  0.000  0.000  0.500
As  0.000  0.000  0.000
As  0.000  0.500  0.631
As  0.500  0.000  0.369
As  0.500  0.500  0.000
Ru  0.000  0.500  0.878
Ru  0.500  0.000  0.122
Ru  0.500  0.500  0.500

Record 2
Structure and simulated powder diffractogram of AcTi3O8 (a crystal structure in Alexandria, relaxed with PBE; Cu Ka).

Principal peaks in the range 2θ = 15–90°, in order of falling intensity:
d [Å]	Rel. int.
4.938	100
2.792	73
3.989	70
2.851	66
1.995	39
2.627	38
1.634	34
2.180	23

Structure:
abc: 5.702 5.702 6.769
angles: 90.00 90.00 120.00
Atoms (fractional coordinates):
Ac  0.000  0.000  0.000
Ti  0.000  0.000  0.500
Ti  0.333  0.667  0.753
Ti  0.667  0.333  0.247
O  0.152  0.846  0.683
O  0.154  0.306  0.683
O  0.306  0.152  0.317
O  0.333  0.667  0.013
O  0.667  0.333  0.987
O  0.694  0.848  0.683
O  0.846  0.694  0.317
O  0.848  0.154  0.317

Record 3
Structure and simulated powder diffractogram of Dy5Ru3 (a crystal structure in Alexandria, relaxed with PBE; Cu Ka).

Principal peaks in the range 2θ = 15–90°, in order of falling intensity:
d [Å]	Rel. int.
2.613	100
2.407	66
2.124	32
1.426	30
1.702	23
1.350	19
3.333	15
3.261	15

Structure:
abc: 3.404 3.404 16.305
angles: 90.00 90.00 90.00
Atoms (fractional coordinates):
Dy  0.000  0.000  0.000
Dy  0.000  0.000  0.206
Dy  0.000  0.000  0.794
Dy  0.500  0.500  0.399
Dy  0.500  0.500  0.601
Ru  0.000  0.000  0.500
Ru  0.500  0.500  0.110
Ru  0.500  0.500  0.890

Record 4
Structure and simulated powder diffractogram of CsKGeTe2 (a crystal structure in Alexandria, relaxed with PBE; Cu Ka).

Principal peaks in the range 2θ = 15–90°, in order of falling intensity:
d [Å]	Rel. int.
2.641	100
3.640	82
3.727	75
3.261	61
1.865	51
2.590	38
1.833	31
2.454	30

Structure:
abc: 8.530 8.530 7.205
angles: 90.00 90.00 128.18
Atoms (fractional coordinates):
Cs  0.250  0.750  0.754
Cs  0.750  0.250  0.246
K  0.250  0.250  0.000
K  0.750  0.750  0.000
Ge  0.000  0.000  0.500
Ge  0.500  0.500  0.500
Te  0.146  0.854  0.270
Te  0.354  0.646  0.270
Te  0.646  0.354  0.730
Te  0.854  0.146  0.730

Record 5
Structure and simulated powder diffractogram of Te12PdPt5 (a crystal structure in Alexandria, relaxed with PBE; Cu Ka).

Principal peaks in the range 2θ = 15–90°, in order of falling intensity:
d [Å]	Rel. int.
2.026	100
5.701	95
3.122	89
2.449	75
2.713	70
2.005	46
2.852	38
1.909	33

Structure:
abc: 7.019 7.019 11.632
angles: 95.69 95.69 120.02
Atoms (fractional coordinates):
Te  0.040  0.707  0.621
Te  0.125  0.460  0.878
Te  0.205  0.205  0.121
Te  0.293  0.960  0.379
Te  0.372  0.372  0.620
Te  0.460  0.125  0.878
Te  0.540  0.875  0.122
Te  0.628  0.628  0.380
Te  0.707  0.040  0.621
Te  0.795  0.795  0.879
Te  0.875  0.540  0.122
Te  0.960  0.293  0.379
Pd  0.500  0.500  0.000
Pt  0.000  0.000  0.500
Pt  0.167  0.833  0.000
Pt  0.333  0.667  0.500
Pt  0.667  0.333  0.500
Pt  0.833  0.167  0.000

Record 6
Structure and simulated powder diffractogram of CsCd2InCl8 (a crystal structure in Alexandria, relaxed with PBE; Cu Ka).

Principal peaks in the range 2θ = 15–90°, in order of falling intensity:
d [Å]	Rel. int.
4.003	100
3.224	92
5.369	79
3.686	64
3.755	62
5.059	51
2.964	49
2.065	38

Structure:
abc: 6.549 6.549 10.116
angles: 95.45 95.45 68.51
Atoms (fractional coordinates):
Cs  0.000  0.000  0.000
Cd  0.370  0.370  0.698
Cd  0.630  0.630  0.302
In  0.000  0.000  0.500
Cl  0.210  0.732  0.315
Cl  0.233  0.233  0.481
Cl  0.268  0.790  0.685
Cl  0.319  0.319  0.923
Cl  0.681  0.681  0.077
Cl  0.732  0.210  0.315
Cl  0.767  0.767  0.519
Cl  0.790  0.268  0.685

Record 7
Structure and simulated powder diffractogram of Sr5Pb24 (a crystal structure in Alexandria, relaxed with PBE; Cu Ka).

Principal peaks in the range 2θ = 15–90°, in order of falling intensity:
d [Å]	Rel. int.
2.936	100
1.695	34
2.656	34
2.443	33
1.468	15
1.665	11
1.762	11
2.543	10

Structure:
abc: 10.787 10.787 10.787
angles: 109.47 109.47 109.47
Atoms (fractional coordinates):
Sr  0.000  0.000  0.000
Sr  0.000  0.000  0.621
Sr  0.000  0.621  0.000
Sr  0.379  0.379  0.379
Sr  0.621  0.000  0.000
Pb  0.000  0.191  0.376
Pb  0.000  0.376  0.191
Pb  0.000  0.388  0.676
Pb  0.000  0.676  0.388
Pb  0.184  0.809  0.809
Pb  0.191  0.000  0.376
Pb  0.191  0.376  0.000
Pb  0.288  0.612  0.612
Pb  0.324  0.324  0.712
Pb  0.324  0.712  0.324
Pb  0.376  0.000  0.191
Pb  0.376  0.191  0.000
Pb  0.388  0.000  0.676
Pb  0.388  0.676  0.000
Pb  0.612  0.288  0.612
Pb  0.612  0.612  0.288
Pb  0.624  0.624  0.816
Pb  0.624  0.816  0.624
Pb  0.676  0.000  0.388
Pb  0.676  0.388  0.000
Pb  0.712  0.324  0.324
Pb  0.809  0.184  0.809
Pb  0.809  0.809  0.184
Pb  0.816  0.624  0.624

Record 8
Structure and simulated powder diffractogram of Pa3Ta2N8 (a crystal structure in Alexandria, relaxed with PBE; Cu Ka).

Principal peaks in the range 2θ = 15–90°, in order of falling intensity:
d [Å]	Rel. int.
3.039	100
2.903	79
2.755	70
4.263	44
1.762	31
3.527	29
2.804	28
1.597	27

Structure:
abc: 5.853 5.853 6.065
angles: 107.30 107.30 76.26
Atoms (fractional coordinates):
Pa  0.000  0.000  0.000
Pa  0.262  0.738  0.500
Pa  0.738  0.262  0.500
Ta  0.341  0.341  0.843
Ta  0.659  0.659  0.157
N  0.096  0.625  0.742
N  0.105  0.105  0.726
N  0.375  0.904  0.258
N  0.421  0.421  0.196
N  0.579  0.579  0.804
N  0.625  0.096  0.742
N  0.895  0.895  0.274
N  0.904  0.375  0.258